No. 1
The following is a calculated XRD peak list of Zr6PbN. It was derived from a structure optimized by DFT (PBE), using Cu Kα (λ = 1.5418 Å).
Peak positions follow from Bragg's law for the DFT cell and can differ from measured ones.

Main lines, sorted by position (2θ = 10–80°):
- 16.5°, I = 9
- 20.4°, I = 9
- 26.0°, I = 12
- 33.6°, I = 100
- 34.9°, I = 29
- 39.3°, I = 68
- 41.5°, I = 9
- 55.9°, I = 17
- 57.8°, I = 22
- 66.8°, I = 8
- 67.7°, I = 18
- 69.3°, I = 11

Structural model:
```
Zr6PbN
1.0
4.3493 2.5111 2.5688
-4.3493 2.5111 2.5688
0.0000 -5.0221 2.5688
Zr Pb N
6 1 1
Direct
0.0954 0.7633 0.6754 Zr
0.2367 0.3246 0.9046 Zr
0.3246 0.9046 0.2367 Zr
0.6754 0.0954 0.7633 Zr
0.7633 0.6754 0.0954 Zr
0.9046 0.2367 0.3246 Zr
0.5000 0.5000 0.5000 Pb
0.0000 0.0000 0.0000 N
```

No. 2
The following is a calculated XRD peak list of BeFe3. It was derived from a structure optimized by DFT (PBE), using Cu Kα (λ = 1.5418 Å).
Peak positions follow from Bragg's law for the DFT cell and can differ from measured ones.

Main lines, sorted by position (2θ = 10–80°):
- 22.8°, I = 58
- 39.7°, I = 13
- 40.0°, I = 13
- 46.3°, I = 100
- 46.5°, I = 99
- 52.1°, I = 11
- 62.7°, I = 6
- 62.9°, I = 6
- 67.7°, I = 29
- 72.4°, I = 4
- 72.6°, I = 2

Structural model:
```
BeFe3
1.0
7.8166 0.0000 0.0000
-3.9083 6.7694 0.0000
0.0000 0.0000 2.4092
Be Fe
3 9
Direct
0.0000 0.0000 0.0000 Be
0.3333 0.6667 0.6667 Be
0.6667 0.3333 0.3333 Be
0.0000 0.5000 0.0000 Fe
0.1667 0.3333 0.3333 Fe
0.1667 0.8333 0.3333 Fe
0.3333 0.1667 0.6667 Fe
0.5000 0.0000 0.0000 Fe
0.5000 0.5000 0.0000 Fe
0.6667 0.8333 0.3333 Fe
0.8333 0.1667 0.6667 Fe
0.8333 0.6667 0.6667 Fe
```

No. 3
The following is a calculated XRD peak list of KCl. It was derived from a structure optimized by DFT (PBE), using Cu Kα (λ = 1.5418 Å).
Peak positions follow from Bragg's law for the DFT cell and can differ from measured ones.

Main lines, sorted by position (2θ = 10–80°):
- 14.5°, I = 100
- 20.5°, I = 22
- 25.2°, I = 50
- 29.2°, I = 17
- 32.8°, I = 24
- 36.0°, I = 54
- 39.0°, I = 28
- 41.8°, I = 25
- 44.5°, I = 14
- 54.1°, I = 14
- 60.6°, I = 14
- 72.5°, I = 16

Structural model:
```
KCl
1.0
8.6461 0.0000 0.0000
0.0000 8.6461 0.0000
0.0000 0.0000 8.6461
K Cl
6 6
Direct
0.0000 0.2500 0.5000 K
0.0000 0.7500 0.5000 K
0.2500 0.5000 0.0000 K
0.5000 0.0000 0.2500 K
0.5000 0.0000 0.7500 K
0.7500 0.5000 0.0000 K
0.0000 0.5000 0.2500 Cl
0.0000 0.5000 0.7500 Cl
0.2500 0.0000 0.5000 Cl
0.5000 0.2500 0.0000 Cl
0.5000 0.7500 0.0000 Cl
0.7500 0.0000 0.5000 Cl
```

No. 4
The following is a calculated XRD peak list of Pm2TmPa2Co5. It was derived from a structure optimized by DFT (PBE), using Cu Kα (λ = 1.5418 Å).
Peak positions follow from Bragg's law for the DFT cell and can differ from measured ones.

Main lines, sorted by position (2θ = 10–80°):
- 18.8°, I = 18
- 25.7°, I = 27
- 26.6°, I = 53
- 35.3°, I = 22
- 36.0°, I = 22
- 37.4°, I = 100
- 38.0°, I = 15
- 40.3°, I = 25
- 43.0°, I = 26
- 48.7°, I = 16
- 52.9°, I = 16
- 73.4°, I = 16

Structural model:
```
Pm2TmPa2Co5
1.0
10.5792 0.0000 0.0000
0.0000 10.5792 0.0000
0.0000 0.0000 3.4639
Pm Tm Pa Co
4 2 4 10
Direct
0.1730 0.3270 0.0000 Pm
0.3270 0.8270 0.0000 Pm
0.6730 0.1730 0.0000 Pm
0.8270 0.6730 0.0000 Pm
0.0000 0.0000 0.0000 Tm
0.5000 0.5000 0.0000 Tm
0.1350 0.6350 0.0000 Pa
0.3650 0.1350 0.0000 Pa
0.6350 0.8650 0.0000 Pa
0.8650 0.3650 0.0000 Pa
0.0000 0.5000 0.5000 Co
0.0435 0.7796 0.5000 Co
0.2204 0.0435 0.5000 Co
0.2796 0.5435 0.5000 Co
0.4565 0.2796 0.5000 Co
0.5000 0.0000 0.5000 Co
0.5435 0.7204 0.5000 Co
0.7204 0.4565 0.5000 Co
0.7796 0.9565 0.5000 Co
0.9565 0.2204 0.5000 Co
```

Repeat the second record exactly.
The following is a calculated XRD peak list of BeFe3. It was derived from a structure optimized by DFT (PBE), using Cu Kα (λ = 1.5418 Å).
Peak positions follow from Bragg's law for the DFT cell and can differ from measured ones.

Main lines, sorted by position (2θ = 10–80°):
- 22.8°, I = 58
- 39.7°, I = 13
- 40.0°, I = 13
- 46.3°, I = 100
- 46.5°, I = 99
- 52.1°, I = 11
- 62.7°, I = 6
- 62.9°, I = 6
- 67.7°, I = 29
- 72.4°, I = 4
- 72.6°, I = 2

Structural model:
```
BeFe3
1.0
7.8166 0.0000 0.0000
-3.9083 6.7694 0.0000
0.0000 0.0000 2.4092
Be Fe
3 9
Direct
0.0000 0.0000 0.0000 Be
0.3333 0.6667 0.6667 Be
0.6667 0.3333 0.3333 Be
0.0000 0.5000 0.0000 Fe
0.1667 0.3333 0.3333 Fe
0.1667 0.8333 0.3333 Fe
0.3333 0.1667 0.6667 Fe
0.5000 0.0000 0.0000 Fe
0.5000 0.5000 0.0000 Fe
0.6667 0.8333 0.3333 Fe
0.8333 0.1667 0.6667 Fe
0.8333 0.6667 0.6667 Fe
```